DyTh2Sc4: theoretical powder XRD pattern (CuKα), based on the PBE geometry in Alexandria.
No peak broadening, texture or thermal motion is included.

Cell and atoms:
a = 3.345 Å, b = 22.008 Å, c = 10.746 Å
α = 90.00°, β = 90.29°, γ = 90.00°
Space group P2_1/c (No. 14)
One atom of each set of equivalent atoms:
Dy  0.249  0.127  0.250
Th  0.245  0.622  0.931
Th  0.255  0.623  0.569
Sc  0.247  0.505  0.383
Sc  0.249  0.250  0.000
Sc  0.252  0.739  0.750
Sc  0.253  0.505  0.117

Peak list (10 most intense, 5° ≤ 2θ ≤ 70°, low angle first)
2θ 16.11, d 5.502, I = 79; 2θ 26.16, d 3.406, I = 100; 2θ 28.24, d 3.160, I = 17; 2θ 30.53, d 2.928, I = 40; 2θ 32.55, d 2.751, I = 51; 2θ 33.78, d 2.653, I = 27; 2θ 33.92, d 2.643, I = 25; 2θ 34.71, d 2.585, I = 25; 2θ 35.01, d 2.563, I = 54; 2θ 37.64, d 2.390, I = 19